No. 1
For CsGe4Au8, a crystal structure in Alexandria, relaxed with GGA-PBE gives the calculated PXRD pattern in this record (CuKα).
No peak broadening, texture or thermal motion is included.

Main lines, low angle first (5 to 70 degrees two-theta):
- 9.86 deg, intensity 340
- 11.94 deg, intensity 597
- 28.69 deg, intensity 1000
- 29.88 deg, intensity 408
- 35.12 deg, intensity 529
- 37.75 deg, intensity 316
- 42.35 deg, intensity 340
- 42.70 deg, intensity 305
- 44.13 deg, intensity 418
- 45.27 deg, intensity 481

Crystal structure
```
13
Lattice="8.339 -2.003 0.000 8.339 2.003 0.000 -4.623 0.000 8.968" Properties=species:S:1:pos:R:3 pbc="T T T"
Cs 0.000 0.000 0.000
Ge -0.149 0.000 3.832
Ge 5.421 0.000 1.412
Ge 6.635 0.000 7.556
Ge 12.205 0.000 5.135
Au -2.042 0.000 5.934
Au 0.394 0.000 7.925
Au 3.459 0.000 3.210
Au 2.344 0.000 5.879
Au 9.711 0.000 3.088
Au 8.596 0.000 5.758
Au 11.662 0.000 1.043
Au 14.098 0.000 3.033
```

=====

No. 2
For PrFeP2Ru, a crystal structure in Alexandria, relaxed with GGA-PBE gives the calculated PXRD pattern in this record (CuKα).
No peak broadening, texture or thermal motion is included.

Main lines, low angle first (5 to 70 degrees two-theta):
- 24.08 deg, intensity 417
- 33.87 deg, intensity 221
- 34.09 deg, intensity 571
- 36.42 deg, intensity 1000
- 46.03 deg, intensity 396
- 48.82 deg, intensity 137
- 58.36 deg, intensity 182
- 58.51 deg, intensity 234
- 62.27 deg, intensity 272
- 67.14 deg, intensity 124

Crystal structure
```
10
Lattice="3.943 0.000 0.000 0.000 3.943 0.000 0.000 0.000 10.587" Properties=species:S:1:pos:R:3 pbc="T T T"
Pr 0.000 0.000 0.000
Pr 1.972 1.972 5.294
Fe 0.000 1.972 2.647
Fe 1.972 0.000 7.940
P 0.000 0.000 3.795
P 0.000 0.000 6.792
P 1.972 1.972 1.499
P 1.972 1.972 9.088
Ru 0.000 1.972 7.940
Ru 1.972 0.000 2.647
```

=====

No. 3
For Tm2Al2Ga3, a crystal structure in Alexandria, relaxed with GGA-PBE gives the calculated PXRD pattern in this record (CuKα).
No peak broadening, texture or thermal motion is included.

Main lines, low angle first (5 to 70 degrees two-theta):
- 23.07 deg, intensity 138
- 24.31 deg, intensity 235
- 32.03 deg, intensity 199
- 32.86 deg, intensity 738
- 34.94 deg, intensity 1000
- 42.04 deg, intensity 252
- 43.19 deg, intensity 247
- 47.90 deg, intensity 137
- 56.59 deg, intensity 167
- 61.85 deg, intensity 160

Crystal structure
```
14
Lattice="2.094 -9.068 0.000 2.094 9.068 0.000 0.000 0.000 7.323" Properties=species:S:1:pos:R:3 pbc="T T T"
Tm 2.094 8.113 5.492
Tm 2.094 6.299 1.831
Tm 2.094 -6.299 5.492
Tm 2.094 -8.113 1.831
Al 2.094 3.431 0.410
Al 2.094 3.431 3.252
Al 2.094 -3.431 4.072
Al 2.094 -3.431 6.913
Ga 2.094 4.968 5.492
Ga 2.094 1.079 4.209
Ga 2.094 1.079 6.776
Ga 2.094 -1.079 0.547
Ga 2.094 -1.079 3.115
Ga 2.094 -4.968 1.831
```

=====

No. 4
For LaNdAu2, a crystal structure in Alexandria, relaxed with GGA-PBE gives the calculated PXRD pattern in this record (CuKα).
No peak broadening, texture or thermal motion is included.

Main lines, low angle first (5 to 70 degrees two-theta):
- 22.99 deg, intensity 15
- 25.70 deg, intensity 37
- 29.00 deg, intensity 1000
- 39.76 deg, intensity 432
- 43.13 deg, intensity 345
- 46.98 deg, intensity 89
- 52.81 deg, intensity 191
- 60.10 deg, intensity 130
- 65.67 deg, intensity 198
- 69.82 deg, intensity 83

Crystal structure
```
12
Lattice="4.195 0.000 0.000 -2.097 3.633 0.000 0.000 0.000 23.207" Properties=species:S:1:pos:R:3 pbc="T T T"
La 0.000 0.000 0.000
La 0.000 2.422 15.472
La 2.097 1.211 7.736
Nd 0.000 0.000 11.604
Nd 0.000 2.422 3.868
Nd 2.097 1.211 19.340
Au 0.000 0.000 5.769
Au 0.000 0.000 17.438
Au 0.000 2.422 9.702
Au 0.000 2.422 21.241
Au 2.097 1.211 1.966
Au 2.097 1.211 13.505
```

=====

No. 5
For Tb5Dy12Er2, a crystal structure in Alexandria, relaxed with GGA-PBE gives the calculated PXRD pattern in this record (CuKα).
No peak broadening, texture or thermal motion is included.

Main lines, low angle first (5 to 70 degrees two-theta):
- 29.34 deg, intensity 217
- 31.15 deg, intensity 255
- 31.56 deg, intensity 979
- 31.95 deg, intensity 1000
- 32.58 deg, intensity 532
- 32.66 deg, intensity 934
- 33.13 deg, intensity 256
- 33.72 deg, intensity 224
- 35.30 deg, intensity 167
- 57.39 deg, intensity 141

Crystal structure
```
19
Lattice="6.465 0.000 0.000 -1.202 8.743 0.000 -0.584 -3.953 10.652" Properties=species:S:1:pos:R:3 pbc="T T T"
Tb 0.000 0.000 0.000
Tb -0.341 5.881 7.435
Tb 2.247 4.210 3.002
Tb 2.432 0.580 7.650
Tb 5.020 -1.091 3.217
Dy -0.902 5.008 3.944
Dy -0.196 2.086 2.467
Dy 0.404 -0.279 10.216
Dy 0.830 6.686 1.495
Dy 1.773 -0.553 4.510
Dy 1.600 3.598 9.195
Dy 3.080 1.192 1.457
Dy 2.907 5.343 6.142
Dy 3.850 -1.896 9.157
Dy 4.275 5.069 0.436
Dy 4.875 2.704 8.185
Dy 5.582 -0.218 6.708
Er 0.722 2.717 5.746
Er 3.957 2.073 4.906
```

=====

No. 6
For LaPm4Pr2Nd, a crystal structure in Alexandria, relaxed with GGA-PBE gives the calculated PXRD pattern in this record (CuKα).
No peak broadening, texture or thermal motion is included.

Main lines, low angle first (5 to 70 degrees two-theta):
- 29.69 deg, intensity 1000
- 34.34 deg, intensity 340
- 34.56 deg, intensity 167
- 49.36 deg, intensity 122
- 49.52 deg, intensity 242
- 58.67 deg, intensity 291
- 58.95 deg, intensity 143
- 61.63 deg, intensity 94
- 61.72 deg, intensity 31

Crystal structure
```
8
Lattice="6.374 0.000 0.000 0.000 3.694 0.000 -2.194 0.000 12.023" Properties=species:S:1:pos:R:3 pbc="T T T"
La 0.000 0.000 0.000
Pm 1.042 1.847 3.011
Pm -0.049 0.000 9.021
Pm 4.229 0.000 3.002
Pm 3.138 1.847 9.012
Pr -1.097 1.847 6.012
Pr 2.090 0.000 6.012
Nd 3.187 1.847 0.000
```

=====

No. 7
For Pr6YTl2, a crystal structure in Alexandria, relaxed with GGA-PBE gives the calculated PXRD pattern in this record (CuKα).
No peak broadening, texture or thermal motion is included.

Main lines, low angle first (5 to 70 degrees two-theta):
- 30.40 deg, intensity 871
- 31.41 deg, intensity 1000
- 31.85 deg, intensity 997
- 44.21 deg, intensity 127
- 47.06 deg, intensity 178
- 49.10 deg, intensity 132
- 54.35 deg, intensity 196
- 55.21 deg, intensity 253
- 57.04 deg, intensity 187
- 57.10 deg, intensity 145

Crystal structure
```
9
Lattice="6.657 -1.931 0.000 6.657 1.931 0.000 -3.802 0.000 11.688" Properties=species:S:1:pos:R:3 pbc="T T T"
Pr -1.064 0.000 4.004
Pr 2.522 0.000 4.758
Pr 3.767 0.000 1.445
Pr 5.745 0.000 10.243
Pr 6.990 0.000 6.931
Pr 10.576 0.000 7.684
Y 0.000 0.000 0.000
Tl 1.773 0.000 9.429
Tl 7.738 0.000 2.259
```

=====

No. 8
For Dy3TlOs, a crystal structure in Alexandria, relaxed with GGA-PBE gives the calculated PXRD pattern in this record (CuKα).
No peak broadening, texture or thermal motion is included.

Main lines, low angle first (5 to 70 degrees two-theta):
- 21.30 deg, intensity 295
- 28.52 deg, intensity 250
- 31.35 deg, intensity 445
- 31.87 deg, intensity 426
- 34.81 deg, intensity 1000
- 35.04 deg, intensity 879
- 37.12 deg, intensity 235
- 37.78 deg, intensity 387
- 39.82 deg, intensity 193
- 56.96 deg, intensity 228

Crystal structure
```
10
Lattice="0.000 4.844 8.202 3.279 0.000 8.202 3.279 4.844 0.000" Properties=species:S:1:pos:R:3 pbc="T T T"
Dy 3.279 3.008 6.334
Dy 3.279 4.844 3.300
Dy 3.279 3.008 10.070
Dy 3.279 6.680 6.334
Dy 3.279 4.844 13.104
Dy 3.279 6.680 10.070
Tl 5.135 4.844 8.202
Tl 1.422 4.844 8.202
Os 1.639 2.422 4.101
Os 4.918 7.266 12.303
```

=====

No. 9
For PuBiB, a crystal structure in Alexandria, relaxed with GGA-PBE gives the calculated PXRD pattern in this record (CuKα).
No peak broadening, texture or thermal motion is included.

Main lines, low angle first (5 to 70 degrees two-theta):
- 15.60 deg, intensity 603
- 20.55 deg, intensity 421
- 26.76 deg, intensity 199
- 34.32 deg, intensity 602
- 34.76 deg, intensity 1000
- 36.73 deg, intensity 412
- 50.14 deg, intensity 439
- 60.43 deg, intensity 200
- 67.05 deg, intensity 168
- 67.69 deg, intensity 178

Crystal structure
```
6
Lattice="0.000 5.681 6.664 1.651 0.000 6.664 1.651 5.681 0.000" Properties=species:S:1:pos:R:3 pbc="T T T"
Pu 1.651 5.681 2.524
Pu 1.651 5.681 10.803
Bi 1.651 4.210 6.664
Bi 1.651 7.151 6.664
B 0.826 2.840 3.332
B 2.477 8.521 9.995
```

=====

No. 10
For Ho5Er2Tm, a crystal structure in Alexandria, relaxed with GGA-PBE gives the calculated PXRD pattern in this record (CuKα).
No peak broadening, texture or thermal motion is included.

Main lines, low angle first (5 to 70 degrees two-theta):
- 28.75 deg, intensity 239
- 32.18 deg, intensity 238
- 33.03 deg, intensity 1000
- 43.69 deg, intensity 155
- 50.93 deg, intensity 198
- 57.92 deg, intensity 203
- 59.53 deg, intensity 31
- 61.53 deg, intensity 225
- 62.05 deg, intensity 165
- 69.30 deg, intensity 40

Crystal structure
```
16
Lattice="6.618 0.000 0.000 1.759 8.153 0.000 0.971 2.151 9.186" Properties=species:S:1:pos:R:3 pbc="T T T"
Ho 0.685 2.383 1.823
Ho 1.658 2.171 5.260
Ho 4.384 10.105 8.709
Ho 3.995 5.136 8.512
Ho 4.384 7.743 2.968
Ho 4.965 2.561 6.218
Ho 5.354 5.168 0.675
Ho 4.965 0.199 0.478
Ho 7.691 8.134 3.926
Ho 8.665 7.921 7.363
Er 2.045 5.553 1.627
Er 3.022 5.347 5.067
Er 6.327 4.957 4.119
Er 7.304 4.751 7.559
Tm 3.997 2.774 2.775
Tm 5.353 7.530 6.411
```

=====

No. 11
For Fe2PtAu, a crystal structure in Alexandria, relaxed with GGA-PBE gives the calculated PXRD pattern in this record (CuKα).
No peak broadening, texture or thermal motion is included.

Main lines, low angle first (5 to 70 degrees two-theta):
- 23.30 deg, intensity 285
- 32.30 deg, intensity 257
- 40.21 deg, intensity 1000
- 46.32 deg, intensity 334
- 47.64 deg, intensity 152
- 52.48 deg, intensity 141
- 58.73 deg, intensity 104
- 67.59 deg, intensity 107
- 68.63 deg, intensity 201

Crystal structure
```
4
Lattice="2.772 0.000 0.000 0.000 2.772 0.000 0.000 0.000 7.635" Properties=species:S:1:pos:R:3 pbc="T T T"
Fe 0.000 0.000 1.833
Fe 0.000 0.000 5.802
Pt 1.386 1.386 0.000
Au 1.386 1.386 3.817
```